1.
Starting from a DFT-relaxed cell (PBE, the Materials Project), the powder diffractogram of UC4O7 was calculated for Cu Kα.

Largest 8 diffraction maxima, low angle first, 15° ≤ 2θ ≤ 90°:
d 5.599, 15.83 deg, rel. 369
d 5.015, 17.69 deg, rel. 507
d 4.731, 18.76 deg, rel. 1000
d 3.817, 23.30 deg, rel. 310
d 3.035, 29.43 deg, rel. 227
d 2.750, 32.56 deg, rel. 230
d 2.095, 43.19 deg, rel. 179
d 2.060, 43.96 deg, rel. 207

Structure:
```
UC4O7
1.0
5.896 0.000 0.000
0.000 11.219 0.000
0.000 0.000 11.194
U C O
4 16 28
Cartesian
0.000 1.868 2.798
0.000 9.351 8.395
2.948 3.742 8.395
2.948 7.477 2.798
0.299 4.873 0.709
0.299 6.346 6.306
0.795 4.981 5.914
0.795 6.238 0.317
2.153 0.629 0.317
2.153 10.590 5.914
2.649 0.736 6.306
2.649 10.483 0.709
3.248 0.736 10.484
3.248 10.483 4.887
3.743 0.629 5.280
3.743 10.590 10.877
5.101 4.981 10.877
5.101 6.238 5.280
5.597 4.873 4.887
5.597 6.346 10.484
0.000 0.047 8.395
0.000 11.172 2.798
0.659 4.044 1.535
0.659 7.175 7.132
1.235 1.358 0.674
1.235 9.860 6.271
1.375 3.593 9.319
1.375 7.626 3.722
1.573 2.017 3.722
1.573 9.202 9.319
1.713 4.251 6.271
1.713 6.968 0.674
2.290 1.566 7.132
2.290 9.653 1.535
2.948 5.563 2.798
2.948 5.656 8.395
3.607 1.566 9.658
3.607 9.653 4.061
4.183 4.251 10.520
4.183 6.968 4.923
4.323 2.017 1.875
4.323 9.202 7.472
4.522 3.593 7.472
4.522 7.626 1.875
4.662 1.358 4.923
4.662 9.860 10.520
5.238 4.044 4.061
5.238 7.175 9.658
```

2.
Starting from a DFT-relaxed cell (PBE, the Materials Project), the powder diffractogram of MgCu2S4 was calculated for Cu Kα.

Largest 8 diffraction maxima, low angle first, 15° ≤ 2θ ≤ 90°:
d 4.723, 18.79 deg, rel. 787
d 3.304, 26.99 deg, rel. 644
d 2.872, 31.14 deg, rel. 945
d 2.808, 31.87 deg, rel. 1000
d 2.098, 43.11 deg, rel. 662
d 1.905, 47.74 deg, rel. 567
d 1.837, 49.63 deg, rel. 712
d 1.746, 52.41 deg, rel. 403

Structure:
```
MgCu2S4
1.0
5.275 0.000 0.000
0.000 3.492 0.000
-1.986 0.000 6.608
Mg Cu S
1 2 4
Cartesian
0.000 0.000 0.000
-0.478 1.746 3.629
2.603 0.000 0.831
-0.168 1.746 5.961
1.300 0.000 3.004
3.018 0.000 4.117
4.109 1.746 1.415
```

3.
Starting from a DFT-relaxed cell (PBE, the Materials Project), the powder diffractogram of Ba2Eu2ZnPtO8 was calculated for Cu Kα.

Largest 8 diffraction maxima, low angle first, 15° ≤ 2θ ≤ 90°:
d 4.789, 18.53 deg, rel. 105
d 2.942, 30.39 deg, rel. 1000
d 2.926, 30.55 deg, rel. 355
d 2.834, 31.57 deg, rel. 187
d 2.778, 32.23 deg, rel. 124
d 2.229, 40.48 deg, rel. 116
d 2.015, 45.00 deg, rel. 161
d 1.692, 54.20 deg, rel. 201

Structure:
```
Ba2Eu2ZnPtO8
1.0
13.618 0.000 0.000
0.000 5.853 0.000
0.000 0.000 10.536
Ba Eu Zn Pt O
8 8 4 4 32
Cartesian
1.125 1.463 1.065
2.931 4.389 3.401
3.878 1.463 8.669
5.684 4.389 6.333
7.934 1.463 4.203
9.740 4.389 1.867
10.687 1.463 7.135
12.493 4.389 9.471
1.112 1.463 5.132
1.906 4.389 7.274
4.903 1.463 2.006
5.697 4.389 10.400
7.921 1.463 0.136
8.715 4.389 8.530
11.712 1.463 3.262
12.506 4.389 5.404
0.356 1.463 8.202
6.453 4.389 2.933
7.165 1.463 7.603
13.262 4.389 2.335
2.617 4.389 10.242
4.192 1.463 4.974
9.426 4.389 5.562
11.001 1.463 0.294
0.071 0.034 6.771
0.071 2.892 6.771
1.313 4.389 1.271
1.519 2.956 9.234
1.519 5.823 9.234
2.867 1.463 3.393
3.040 0.062 5.893
3.040 2.865 5.893
3.769 2.988 0.624
3.769 5.791 0.624
3.942 4.389 8.661
5.290 0.030 3.966
5.290 2.896 3.966
5.496 1.463 6.539
6.738 2.960 1.503
6.738 5.818 1.503
6.880 0.034 9.033
6.880 2.892 9.033
8.122 4.389 3.997
8.328 2.956 6.571
8.328 5.823 6.571
9.676 1.463 1.875
9.849 0.062 9.912
9.849 2.865 9.912
10.578 2.988 4.644
10.578 5.791 4.644
10.751 4.389 7.143
12.099 0.030 1.303
12.099 2.896 1.303
12.305 1.463 9.265
13.547 2.960 3.765
13.547 5.818 3.765
```

4.
Starting from a DFT-relaxed cell (PBE, the Materials Project), the powder diffractogram of Ho6GaCo2 was calculated for Cu Kα.

Largest 8 diffraction maxima, low angle first, 15° ≤ 2θ ≤ 90°:
d 3.088, 28.92 deg, rel. 275
d 2.921, 30.60 deg, rel. 321
d 2.740, 32.69 deg, rel. 1000
d 2.565, 34.98 deg, rel. 416
d 2.553, 35.15 deg, rel. 577
d 2.519, 35.64 deg, rel. 471
d 2.301, 39.14 deg, rel. 296
d 1.514, 61.22 deg, rel. 283

Structure:
```
Ho6GaCo2
1.0
-4.606 4.743 4.901
4.606 -4.743 4.901
4.606 4.743 -4.901
Ho Ga Co
12 2 4
Cartesian
4.606 2.873 -2.561
2.585 1.714 0.000
6.627 1.714 0.000
1.732 4.743 -1.701
2.874 0.000 3.200
0.000 1.870 2.340
4.606 2.873 2.561
1.732 4.743 1.701
2.874 0.000 6.602
-2.021 3.028 4.901
2.021 3.028 4.901
0.000 1.870 7.462
0.000 0.000 0.000
0.000 0.000 4.901
4.606 0.000 1.129
0.000 3.190 0.000
0.000 6.295 0.000
0.000 4.743 3.772
```